1.
The following is a simulated X-ray diffraction stick pattern of NdMnTe3. It was derived from a DFT-relaxed cell (PBE, Alexandria), using a wavelength of 1.5418 Å.

Atomic structure:
```
data_NdMnTe3
_space_group_name_H-M_alt 'P 1 21/m 1'
_space_group_IT_number 11
_cell_length_a 7.8518
_cell_length_b 4.2774
_cell_length_c 8.7553
_cell_angle_alpha 90.00
_cell_angle_beta 94.00
_cell_angle_gamma 90.00
loop_
_space_group_symop_operation_xyz
'x,y,z'
'-x,-y,-z'
'-x,y+1/2,-z'
'x,-y+1/2,z'
loop_
_atom_site_label
_atom_site_type_symbol
_atom_site_fract_x
_atom_site_fract_y
_atom_site_fract_z
Nd1 Nd 0.1232 0.2500 0.2888
Mn1 Mn 0.3507 0.7500 0.8401
Te1 Te 0.1278 0.2500 0.9079
Te2 Te 0.2356 0.7500 0.5437
Te3 Te 0.4059 0.7500 0.1584
```

Top 6 peaks for 2θ = 15–90°, in order of rising 2θ:
d/Å, I/Imax, (hkl)
3.408, 43, 1 1 1
3.056, 63, 0 1 2
2.889, 100, 2 1 0
2.669, 43, 1 0 3
2.339, 49, 1 1 -3
2.139, 45, 0 2 0


2.
The following is a simulated X-ray diffraction stick pattern of Ho2ZrCu6. It was derived from a DFT-relaxed cell (PBE, Alexandria), using a wavelength of 1.5418 Å.

Atomic structure:
```
data_Ho2ZrCu6
_space_group_name_H-M_alt 'P 6/m m m'
_space_group_IT_number 191
_space_group_name_Hall '-P 6 2'
_cell_length_a 7.3837
_cell_length_b 7.3837
_cell_length_c 3.2670
_cell_angle_alpha 90.00
_cell_angle_beta 90.00
_cell_angle_gamma 120.00
loop_
_atom_site_label
_atom_site_type_symbol
_atom_site_fract_x
_atom_site_fract_y
_atom_site_fract_z
Ho1 Ho 0.3333 0.6667 0.0000
Zr1 Zr 0.0000 0.0000 0.0000
Cu1 Cu 0.0000 0.3303 0.5000
```

Top 6 peaks for 2θ = 15–90°, in order of rising 2θ:
d/Å, I/Imax, (hkl)
3.692, 17, 1 1 0
2.447, 100, 1 1 1
2.131, 59, 3 0 0
1.607, 27, 2 2 1
1.297, 22, 3 0 2
1.283, 25, 4 1 1